# La4Al
Simulated powder diffraction line list, Cu Kα (λ = 1.5418 Å). Input: a DFT-relaxed cell (PBE, the Materials Project).

Largest 12 diffraction maxima, by intensity, 2θ from 10° to 80°:
Position (°2θ)  d/Å  Rel. int.
26.6  3.354  100
30.8  2.905  43
44.1  2.054  31
40.3  2.236  29
52.2  1.752  27
33.6  2.666  18
56.6  1.627  15
61.3  1.513  13
13.2  6.708  12
65.8  1.419  11
54.7  1.677  7
70.7  1.333  6

Crystal structure
```
data_La4Al
_space_group_name_H-M_alt 'P 1'
_space_group_IT_number 1
_space_group_name_Hall 'P 1'
_cell_length_a 8.216
_cell_length_b 8.216
_cell_length_c 8.216
_cell_angle_alpha 60.00
_cell_angle_beta 60.00
_cell_angle_gamma 60.00
loop_
_atom_site_label
_atom_site_type_symbol
_atom_site_fract_x
_atom_site_fract_y
_atom_site_fract_z
_atom_site_occupancy
La1 La 0.192 0.769 0.769 1
La2 La 0.231 0.231 0.231 1
La3 La 0.231 0.231 0.808 1
La4 La 0.231 0.808 0.231 1
La5 La 0.769 0.192 0.769 1
La6 La 0.769 0.769 0.192 1
La7 La 0.769 0.769 0.769 1
La8 La 0.808 0.231 0.231 1
Al1 Al 0.375 0.375 0.375 1
Al2 Al 0.625 0.625 0.625 1
```